Sr3TmFe2O9: calculated powder X-ray diffraction pattern (Cu Kα X-rays), based on the PBE+U geometry in Alexandria.

Main lines, by intensity (10 to 80 degrees two-theta):
2θ/deg  I_rel  hkl
31.36  100.0  0 1 2
31.57  92.3  1 1 0
45.10  66.3  2 0 2
56.09  37.7  1 2 2
65.92  18.7  2 2 0
22.11  18.3  0 1 1
56.22  17.9  3 0 0
65.43  17.6  0 2 4
55.68  17.3  1 0 4
74.82  16.8  3 1 2

```
data_Sr3TmFe2O9
_chemical_formula_sum 'Sr3 Tm1 Fe2 O9'
_space_group_name_H-M_alt 'P -3 m 1'
_space_group_IT_number 164
_space_group_name_Hall '-P 3 2"'
_cell_length_a 5.6678
_cell_length_b 5.6678
_cell_length_c 7.0111
_cell_angle_alpha 90.00
_cell_angle_beta 90.00
_cell_angle_gamma 120.00
loop_
_atom_site_label
_atom_site_type_symbol
_atom_site_fract_x
_atom_site_fract_y
_atom_site_fract_z
Sr1 Sr 0.0000 0.0000 0.0000
Sr2 Sr 0.3333 0.6667 0.6869
Tm1 Tm 0.0000 0.0000 0.5000
Fe1 Fe 0.3333 0.6667 0.1624
O1 O 0.0000 0.5000 0.0000
O2 O 0.1744 0.3488 0.3155
```